No. 1
For Li2Fe3CuO8, a DFT-relaxed cell (PBE+U, the Materials Project) gives the calculated XRD peak list in this record (Cu Kα (weighted mean of Kα1 and Kα2)).

Principal peaks in the range 2θ from 15° to 90°, sorted by position:
2θ = 18.42°, intensity 68.5; 2θ = 21.25°, intensity 36.6; 2θ = 30.27°, intensity 33.6; 2θ = 35.57°, intensity 100.0; 2θ = 35.68°, intensity 15.0; 2θ = 43.27°, intensity 35.5; 2θ = 57.20°, intensity 21.5; 2θ = 57.32°, intensity 19.5; 2θ = 62.75°, intensity 26.9; 2θ = 62.97°, intensity 25.1

```
Li2Fe3CuO8
1.0
2.961 1.710 4.813
-2.961 1.710 4.813
0.000 -3.420 4.813
Li Fe Cu O
2 3 1 8
direct
0.000 0.000 0.000
0.379 0.379 0.379
0.001 0.001 0.490
0.001 0.490 0.001
0.490 0.001 0.001
0.618 0.618 0.618
0.214 0.749 0.749
0.243 0.243 0.243
0.245 0.245 0.789
0.245 0.789 0.245
0.749 0.214 0.749
0.749 0.749 0.214
0.751 0.751 0.751
0.789 0.245 0.245
```

No. 2
For Li2Fe3CuO8, a DFT-relaxed cell (PBE+U, the Materials Project) gives the calculated XRD peak list in this record (Cu Kα (weighted mean of Kα1 and Kα2)).

Principal peaks in the range 2θ from 15° to 90°, sorted by position:
2θ = 18.37°, intensity 100.0; 2θ = 21.16°, intensity 39.2; 2θ = 23.69°, intensity 31.5; 2θ = 35.43°, intensity 88.6; 2θ = 35.55°, intensity 86.3; 2θ = 35.78°, intensity 86.2; 2θ = 42.99°, intensity 29.9; 2θ = 57.14°, intensity 36.0; 2θ = 62.58°, intensity 43.5; 2θ = 62.99°, intensity 42.6

```
Li2Fe3CuO8
1.0
8.307 0.000 0.000
0.009 8.378 0.000
0.023 0.002 8.416
Li Fe Cu O
8 12 4 32
direct
0.000 0.000 0.000
0.003 0.498 0.499
0.127 0.126 0.370
0.372 0.627 0.627
0.499 0.001 0.497
0.502 0.498 0.996
0.628 0.873 0.126
0.874 0.370 0.873
0.128 0.371 0.125
0.128 0.625 0.870
0.130 0.872 0.625
0.370 0.371 0.373
0.373 0.127 0.127
0.373 0.870 0.874
0.626 0.373 0.629
0.626 0.628 0.373
0.629 0.127 0.874
0.872 0.625 0.126
0.874 0.875 0.368
0.875 0.129 0.625
0.247 0.252 0.748
0.255 0.755 0.252
0.746 0.744 0.753
0.751 0.246 0.247
0.109 0.873 0.387
0.111 0.110 0.628
0.112 0.611 0.116
0.121 0.642 0.643
0.132 0.388 0.894
0.137 0.865 0.866
0.142 0.146 0.122
0.143 0.375 0.351
0.354 0.876 0.637
0.362 0.644 0.878
0.366 0.362 0.133
0.368 0.897 0.116
0.377 0.139 0.349
0.381 0.369 0.604
0.385 0.113 0.889
0.389 0.611 0.367
0.607 0.889 0.870
0.610 0.129 0.108
0.610 0.382 0.385
0.622 0.356 0.856
0.630 0.606 0.612
0.634 0.134 0.636
0.646 0.858 0.375
0.650 0.621 0.137
0.854 0.122 0.860
0.864 0.353 0.623
0.867 0.631 0.359
0.873 0.110 0.386
0.879 0.853 0.140
0.887 0.627 0.896
0.888 0.888 0.615
0.894 0.388 0.129
```

No. 3
For Li2Fe3CuO8, a DFT-relaxed cell (PBE+U, the Materials Project) gives the calculated XRD peak list in this record (Cu Kα (weighted mean of Kα1 and Kα2)).

Principal peaks in the range 2θ from 15° to 90°, sorted by position:
2θ = 18.07°, intensity 100.0; 2θ = 34.67°, intensity 14.1; 2θ = 35.67°, intensity 11.8; 2θ = 35.92°, intensity 12.3; 2θ = 37.02°, intensity 10.8; 2θ = 41.55°, intensity 22.4; 2θ = 43.34°, intensity 18.9; 2θ = 43.76°, intensity 18.6; 2θ = 61.92°, intensity 5.7; 2θ = 62.24°, intensity 5.7

```
Li2Fe3CuO8
1.0
5.862 0.000 0.000
-0.053 5.894 0.000
-2.905 -2.890 4.347
Li Fe Cu O
2 3 1 8
direct
0.000 0.000 0.000
0.500 0.000 0.500
0.000 0.500 0.000
0.000 0.500 0.500
0.500 0.500 0.000
0.500 0.500 0.500
0.226 0.716 0.977
0.239 0.284 0.014
0.255 0.710 0.476
0.277 0.288 0.524
0.723 0.712 0.476
0.745 0.290 0.524
0.761 0.716 0.986
0.774 0.284 0.023
```

No. 4
For Li5Fe5Cu2O12, a DFT-relaxed cell (PBE+U, the Materials Project) gives the calculated XRD peak list in this record (Cu Kα (weighted mean of Kα1 and Kα2)).

Principal peaks in the range 2θ from 15° to 90°, sorted by position:
2θ = 18.23°, intensity 44.6; 2θ = 20.26°, intensity 27.2; 2θ = 20.69°, intensity 15.7; 2θ = 22.23°, intensity 47.8; 2θ = 36.50°, intensity 14.9; 2θ = 36.68°, intensity 29.2; 2θ = 40.12°, intensity 62.8; 2θ = 43.85°, intensity 100.0; 2θ = 60.63°, intensity 31.4; 2θ = 61.22°, intensity 29.5

```
Li5Fe5Cu2O12
1.0
2.695 -4.383 0.000
2.695 4.383 0.000
-1.049 0.000 9.735
Li Fe Cu O
5 5 2 12
direct
0.000 0.000 0.000
0.246 0.267 0.764
0.402 0.060 0.237
0.733 0.754 0.236
0.940 0.598 0.763
0.080 0.411 0.240
0.165 0.835 0.500
0.498 0.502 0.500
0.589 0.920 0.760
0.666 0.334 0.000
0.332 0.668 0.000
0.830 0.170 0.500
0.030 0.686 0.117
0.139 0.149 0.387
0.248 0.586 0.631
0.314 0.970 0.883
0.379 0.387 0.122
0.414 0.752 0.369
0.519 0.185 0.611
0.613 0.621 0.878
0.739 0.090 0.137
0.815 0.481 0.389
0.851 0.861 0.613
0.910 0.261 0.863
```